1.
Li2La3Pd5: calculated powder diffraction line list (CuKα), based on a crystal structure in Alexandria, relaxed with GGA-PBE.
No peak broadening, texture or thermal motion is included.

Crystal structure
Cell: 10.2028 10.2028 3.8543 Å, 90.00 90.00 90.00°
Positions (direct):
Li (0.1192, 0.3808, 0.0000)
Li (0.3808, 0.8808, 0.0000)
Li (0.6192, 0.1192, 0.0000)
Li (0.8808, 0.6192, 0.0000)
La (0.0000, 0.0000, 0.0000)
La (0.1746, 0.6746, 0.0000)
La (0.3254, 0.1746, 0.0000)
La (0.5000, 0.5000, 0.0000)
La (0.6746, 0.8254, 0.0000)
La (0.8254, 0.3254, 0.0000)
Pd (0.0000, 0.5000, 0.5000)
Pd (0.0704, 0.2202, 0.5000)
Pd (0.2202, 0.9296, 0.5000)
Pd (0.2798, 0.4296, 0.5000)
Pd (0.4296, 0.7202, 0.5000)
Pd (0.5000, 0.0000, 0.5000)
Pd (0.5704, 0.2798, 0.5000)
Pd (0.7202, 0.5704, 0.5000)
Pd (0.7798, 0.0704, 0.5000)
Pd (0.9296, 0.7798, 0.5000)

Peak list (12 most intense, 2θ from 5° to 70°, sorted by position)
d 2.944, 2θ = 30.36°, intensity 48; d 2.830, 2θ = 31.62°, intensity 7; d 2.634, 2θ = 34.04°, intensity 25; d 2.474, 2θ = 36.31°, intensity 100; d 2.405, 2θ = 37.39°, intensity 6; d 2.281, 2θ = 39.50°, intensity 37; d 1.927, 2θ = 47.16°, intensity 16; d 1.593, 2θ = 57.88°, intensity 10; d 1.556, 2θ = 59.41°, intensity 11; d 1.521, 2θ = 60.93°, intensity 18; d 1.472, 2θ = 63.15°, intensity 21; d 1.351, 2θ = 69.57°, intensity 12

2.
Li2La3Pd6: calculated powder diffraction line list (CuKα), based on a crystal structure in Alexandria, relaxed with GGA-PBE.
No peak broadening, texture or thermal motion is included.

Crystal structure
Cell: 8.4282 8.4282 8.4282 Å, 109.47 109.47 109.47°
Positions (direct):
Li (0.0000, 0.0000, 0.5000)
Li (0.0000, 0.5000, 0.0000)
Li (0.5000, 0.0000, 0.0000)
Li (0.5000, 0.5000, 0.5000)
La (0.0000, 0.3055, 0.3055)
La (0.0000, 0.6945, 0.6945)
La (0.3055, 0.0000, 0.3055)
La (0.3055, 0.3055, 0.0000)
La (0.6945, 0.0000, 0.6945)
La (0.6945, 0.6945, 0.0000)
Pd (0.0000, 0.3349, 0.6651)
Pd (0.0000, 0.6651, 0.3349)
Pd (0.3302, 0.6651, 0.6651)
Pd (0.3349, 0.0000, 0.6651)
Pd (0.3349, 0.3349, 0.6698)
Pd (0.3349, 0.6651, 0.0000)
Pd (0.3349, 0.6698, 0.3349)
Pd (0.6651, 0.0000, 0.3349)
Pd (0.6651, 0.3302, 0.6651)
Pd (0.6651, 0.3349, 0.0000)
Pd (0.6651, 0.6651, 0.3302)
Pd (0.6698, 0.3349, 0.3349)

Peak list (12 most intense, 2θ from 5° to 70°, sorted by position)
d 6.882, 2θ = 12.86°, intensity 22; d 4.866, 2θ = 18.23°, intensity 9; d 3.441, 2θ = 25.89°, intensity 14; d 3.078, 2θ = 29.01°, intensity 18; d 2.601, 2θ = 34.48°, intensity 20; d 2.433, 2θ = 36.95°, intensity 5; d 2.294, 2θ = 39.28°, intensity 100; d 1.909, 2θ = 47.65°, intensity 6; d 1.669, 2θ = 55.02°, intensity 6; d 1.622, 2θ = 56.76°, intensity 16; d 1.579, 2θ = 58.46°, intensity 11; d 1.467, 2θ = 63.40°, intensity 4